Record 1
The following is a simulated X-ray diffraction stick pattern of DyHoBi2Te2. It was derived from a cell relaxed with GGA-PBE, using Cu Kα, 1.54184 Å.
Kinematic intensities with the Lorentz-polarization factor, no thermal factor.

Peak list (10 most intense, 2θ from 15° to 90°, by intensity)
(hkl)	2θ/deg	I_rel
1 1 1	30.4	100
1 1 2	34.8	81
2 0 0	41.2	50
0 0 3	28.8	44
2 0 3	51.0	34
1 0 3	35.5	28
3 1 2	70.9	23
2 2 3	67.6	21
3 1 1	68.4	20
2 2 0	59.7	18

Atomic structure:
a b c (Å): 4.3843 4.3843 9.2917
angles (deg): 90.00 90.00 90.00
Space group P4mm (No. 99)
Inequivalent atoms, fractional coordinates:
Dy 0.0000 0.0000 0.0000 [1 per cell]
Ho 0.5000 0.5000 0.4308 [1 per cell]
Bi 0.0000 0.5000 0.7153 [2 per cell]
Te 0.0000 0.0000 0.3410 [1 per cell]
Te 0.5000 0.5000 0.0906 [1 per cell]

Record 2
The following is a simulated X-ray diffraction stick pattern of Ho3Ni2Sn3Pd. It was derived from a cell relaxed with GGA-PBE, using Cu Kα, 1.54184 Å.
Kinematic intensities with the Lorentz-polarization factor, no thermal factor.

Peak list (10 most intense, 2θ from 15° to 90°, by intensity)
(hkl)	2θ/deg	I_rel
1 1 1	33.1	100
2 0 1	36.1	78
2 1 0	37.6	40
3 0 0	42.9	28
3 2 1	68.7	27
0 0 2	45.1	24
2 1 2	60.1	21
3 0 2	64.0	17
3 1 1	57.3	17
3 1 0	52.1	14

Atomic structure:
a b c (Å): 7.3072 7.3072 4.0219
angles (deg): 90.00 90.00 120.00
Space group P-62m (No. 189)
Inequivalent atoms, fractional coordinates:
Ho 0.0000 0.4098 0.0000 [3 per cell]
Ni 0.3333 0.6667 0.5000 [2 per cell]
Sn 0.0000 0.7333 0.5000 [3 per cell]
Pd 0.0000 0.0000 0.0000 [1 per cell]

Record 3
The following is a simulated X-ray diffraction stick pattern of Li4Lu2O5. It was derived from a cell relaxed with GGA-PBE, using Cu Kα, 1.54184 Å.
Kinematic intensities with the Lorentz-polarization factor, no thermal factor.

Peak list (10 most intense, 2θ from 15° to 90°, by intensity)
(hkl)	2θ/deg	I_rel
0 0 1	20.4	100
1 3 0	28.8	68
1 3 1	35.5	62
1 1 0	21.5	60
2 0 0	41.5	52
1 1 1	29.8	34
2 6 0	59.6	31
1 3 2	51.3	29
0 4 0	26.9	25
0 6 0	40.8	24

Atomic structure:
a b c (Å): 4.3514 13.2701 4.3491
angles (deg): 90.00 90.00 90.00
Space group Cmmm (No. 65)
Inequivalent atoms, fractional coordinates:
Li 0.0000 0.0000 0.0000 [2 per cell]
Li 0.0000 0.1865 0.5000 [4 per cell]
Li 0.0000 0.5000 0.5000 [2 per cell]
Lu 0.0000 0.3417 0.0000 [4 per cell]
O 0.0000 0.1676 0.0000 [4 per cell]
O 0.0000 0.3433 0.5000 [4 per cell]
O 0.0000 0.5000 0.0000 [2 per cell]

Record 4
The following is a simulated X-ray diffraction stick pattern of YTlPd3. It was derived from a cell relaxed with GGA-PBE, using Cu Kα, 1.54184 Å.
Kinematic intensities with the Lorentz-polarization factor, no thermal factor.

Peak list (10 most intense, 2θ from 15° to 90°, by intensity)
(hkl)	2θ/deg	I_rel
1 0 1	19.5	100
2 0 2	39.7	99
2 2 0	43.3	86
2 1 1	36.3	57
2 0 1	29.0	56
1 1 0	21.3	50
2 1 2	45.5	42
1 1 2	37.6	32
2 1 0	32.7	30
1 0 2	33.1	29

Atomic structure:
a b c (Å): 8.3592 8.3592 5.8326
angles (deg): 90.00 90.00 120.00
Space group P6_3/mmc (No. 194)
Inequivalent atoms, fractional coordinates:
Y 0.3333 0.6667 0.2500 [2 per cell]
Tl 0.0000 0.0000 0.0000 [2 per cell]
Pd 0.1590 0.3181 0.2500 [6 per cell]